Record 1
Ho5Er2TmZr: calculated XRD peak list (Cu Kα (λ = 1.5418 Å)), based on a cell relaxed with GGA-PBE.
Neutral-atom scattering factors, no anomalous dispersion.

Cell and atoms:
Unit cell a=5.448 b=20.321 c=9.917 alpha=90.00 beta=90.00 gamma=90.00
Space group Cmc2_1 (No. 36)
Symmetry-distinct sites (fractional):
Ho: 0.000 0.016 0.000 x4
Ho: 0.000 0.137 0.715 x4
Ho: 0.000 0.198 0.037 x4
Ho: 0.000 0.237 0.397 x4
Ho: 0.000 0.484 0.727 x4
Er: 0.000 0.379 0.004 x4
Er: 0.000 0.392 0.429 x4
Tm: 0.000 0.098 0.293 x4
Zr: 0.000 0.313 0.714 x4

Principal peaks in the range 10° ≤ 2θ ≤ 90°, low angle first:
- d = 3.225 Å, I 20.6, (1 3 2)
- d = 3.205 Å, I 11.9, (0 6 1)
- d = 2.799 Å, I 42.1, (1 1 3)
- d = 2.723 Å, I 100.0, (2 0 0)
- d = 2.480 Å, I 23.1, (0 0 4)
- d = 1.711 Å, I 7.4, (0 6 5)
- d = 1.572 Å, I 14.3, (3 5 2)
- d = 1.449 Å, I 8.5, (2 6 5)


Record 2
HoErTmZr: calculated XRD peak list (Cu Kα (λ = 1.5418 Å)), based on a cell relaxed with GGA-PBE.
Neutral-atom scattering factors, no anomalous dispersion.

Cell and atoms:
Unit cell a=4.833 b=4.833 c=9.621 alpha=90.00 beta=90.00 gamma=90.00
Space group I-4m2 (No. 119)
Symmetry-distinct sites (fractional):
Ho: 0.000 0.000 0.000 x2
Er: 0.000 0.500 0.750 x2
Tm: 0.000 0.500 0.250 x2
Zr: 0.000 0.000 0.500 x2

Principal peaks in the range 10° ≤ 2θ ≤ 90°, low angle first:
- d = 2.786 Å, I 100.0, (1 1 2)
- d = 2.417 Å, I 33.7, (2 0 0)
- d = 2.405 Å, I 16.6, (0 0 4)
- d = 1.705 Å, I 23.4, (2 0 4)
- d = 1.457 Å, I 27.7, (3 1 2)
- d = 1.452 Å, I 13.7, (1 1 6)
- d = 1.393 Å, I 11.9, (2 2 4)
- d = 1.106 Å, I 11.8, (3 1 6)


Record 3
Y3HoEr6: calculated XRD peak list (Cu Kα (λ = 1.5418 Å)), based on a cell relaxed with GGA-PBE.
Neutral-atom scattering factors, no anomalous dispersion.

Cell and atoms:
Unit cell a=9.309 b=15.365 c=8.841 alpha=90.00 beta=90.00 gamma=90.00
Space group Cmc2_1 (No. 36)
Symmetry-distinct sites (fractional):
Y: 0.000 0.050 0.000 x4
Y: 0.175 0.352 0.488 x8
Ho: 0.000 0.279 0.880 x4
Er: 0.000 0.217 0.248 x4
Er: 0.000 0.446 0.125 x4
Er: 0.177 0.147 0.638 x8
Er: 0.245 0.443 0.814 x8

Principal peaks in the range 10° ≤ 2θ ≤ 90°, low angle first:
- d = 3.149 Å, I 35.7, (1 3 2)
- d = 2.959 Å, I 100.0, (2 2 2)
- d = 2.876 Å, I 54.5, (3 1 1)
- d = 2.809 Å, I 80.9, (2 4 1)
- d = 2.769 Å, I 53.7, (1 5 1)
- d = 2.752 Å, I 58.9, (0 2 3)
- d = 2.461 Å, I 33.9, (0 6 1)
- d = 1.649 Å, I 21.2, (2 8 2)